Structure and simulated powder XRD pattern of Tb2DyEr4Sc (a DFT-relaxed cell (GGA-PBE, Alexandria); CuKα).
Neutral-atom scattering factors, no anomalous dispersion.

Cell and atoms:
a b c (Å): 4.943 4.943 9.870
angles (deg): 90.00 90.00 90.00
Positions (direct):
Tb (0.000, 0.000, 0.000)
Tb (0.500, 0.500, 0.500)
Dy (0.000, 0.000, 0.500)
Er (0.000, 0.500, 0.245)
Er (0.000, 0.500, 0.755)
Er (0.500, 0.000, 0.245)
Er (0.500, 0.000, 0.755)
Sc (0.500, 0.500, 0.000)

Most intense lines, 5° ≤ 2θ ≤ 70°, in order of rising 2θ:
two_theta	I_rel	h k l
8.96	3	0 0 1
17.96	3	0 0 2
20.09	3	1 0 1
25.50	3	1 1 0
27.08	3	0 0 3
31.36	100	1 1 2
36.37	50	2 0 0
52.38	35	2 2 0
62.34	42	3 1 2
65.45	12	2 2 4